(1)
The following is a computed powder diffractogram of Hg2IN. It was derived from a structure optimized by DFT (GGA-PBE), using Cu Kα, 1.54184 Å.

Peak list (12 most intense, 2θ = 15–90°, low angle first)
15.85°, I = 43.5; 25.98°, I = 19.5; 30.49°, I = 50.7; 30.67°, I = 100.0; 32.00°, I = 92.4; 48.61°, I = 14.3; 48.85°, I = 14.1; 48.97°, I = 27.9; 53.43°, I = 39.6; 53.66°, I = 19.5; 63.86°, I = 26.3; 75.52°, I = 20.0

```
Hg2IN
1.0
-3.4162 3.4162 4.8691
3.4162 -3.4162 4.8691
3.4162 3.4162 -4.8691
Hg I N
4 2 2
Direct
0.3750 0.1260 0.2510
0.8740 0.1250 0.2490
0.8750 0.1240 0.7490
0.8760 0.6250 0.7510
0.2500 0.7500 0.5000
0.5000 0.5000 0.0000
0.0000 0.0000 0.0000
0.7500 0.2500 0.5000
```

***

(2)
The following is a computed powder diffractogram of NaHgI. It was derived from a structure optimized by DFT (GGA-PBE), using Cu Kα, 1.54184 Å.

Peak list (12 most intense, 2θ = 15–90°, low angle first)
16.66°, I = 41.4; 25.10°, I = 100.0; 27.89°, I = 78.6; 29.05°, I = 99.7; 32.57°, I = 57.4; 37.61°, I = 34.8; 38.12°, I = 33.9; 40.63°, I = 39.1; 40.78°, I = 36.2; 43.55°, I = 27.0; 44.21°, I = 34.1; 51.52°, I = 26.3

```
NaHgI
1.0
3.1995 -3.2108 0.0000
3.1995 3.2108 0.0000
-0.1379 0.0000 10.6427
Na Hg I
2 2 2
Direct
0.2477 0.2477 0.3586
0.7523 0.7523 0.6414
0.0000 0.5000 0.0000
0.5000 0.0000 0.0000
0.2531 0.2531 0.6598
0.7469 0.7469 0.3402
```